This entry pairs a crystal structure of Ba2CuAsP with its calculated powder diffractogram. Radiation: copper Kα. Structure: the PBE geometry in OQMD.
Lines closer than 0.1° are merged.

Most intense lines, 15° ≤ 2θ ≤ 90°, most intense first:
2θ (°)	intensity	index
28.1	1000	1 3 1
32.8	439	1 5 0
24.1	348	0 2 2
42.8	308	2 0 0
34.1	307	1 3 2
31.0	248	1 1 2

Atomic structure:
abc: 4.2204 17.9158 8.1201
angles: 90.00 90.00 90.00
Space group Cmc2_1 (No. 36)
Unique sites:
Ba  0.0000  0.0271  0.0000
Ba  0.0000  0.2292  0.6501
Cu  0.0000  0.3783  0.9068
As  0.0000  0.4124  0.1985
P  0.0000  0.1474  0.2983